Entry 1:
Diffraction record for Ce4CdNi. The powder XRD pattern is theoretical, not measured: it uses a crystal structure in the Materials Project, relaxed with GGA-PBE and Cu Kα.

Atomic structure:
a = 13.628 Å, b = 13.628 Å, c = 13.628 Å
α = 90.00°, β = 90.00°, γ = 90.00°
Space group F-43m (No. 216)
Unique sites:
Ce: 0.000 0.000 0.187
Ce: 0.057 0.250 0.750
Ce: 0.099 0.099 0.401
Cd: 0.171 0.171 0.171
Ni: 0.109 0.109 0.609

Principal peaks in the range 5° ≤ 2θ ≤ 70°, in order of rising 2θ:
2θ = 28.55°, 3.127 Å, rel. 29.1, (3 3 1); 2θ = 32.18°, 2.782 Å, rel. 56.7, (4 2 2); 2θ = 34.19°, 2.623 Å, rel. 100.0, (5 1 1); 2θ = 37.33°, 2.409 Å, rel. 29.6, (4 4 0); 2θ = 39.10°, 2.304 Å, rel. 6.6, (5 3 1); 2θ = 51.51°, 1.774 Å, rel. 7.1, (5 5 3); 2θ = 55.17°, 1.665 Å, rel. 12.6, (7 3 3); 2θ = 57.37°, 1.606 Å, rel. 48.8, (6 6 0); 2θ = 58.67°, 1.574 Å, rel. 13.2, (5 5 5); 2θ = 68.51°, 1.370 Å, rel. 16.8, (9 3 3)

Entry 2:
Diffraction record for CeCdNi4. The powder XRD pattern is theoretical, not measured: it uses a crystal structure in the Materials Project, relaxed with GGA-PBE and Cu Kα.

Atomic structure:
a = 7.070 Å, b = 7.070 Å, c = 7.070 Å
α = 90.00°, β = 90.00°, γ = 90.00°
Space group F-43m (No. 216)
Unique sites:
Ce: 0.000 0.000 0.000
Cd: 0.250 0.250 0.250
Ni: 0.124 0.124 0.624

Principal peaks in the range 5° ≤ 2θ ≤ 70°, in order of rising 2θ:
2θ = 21.77°, 4.082 Å, rel. 5.0, (1 1 1); 2θ = 25.19°, 3.535 Å, rel. 0.8, (2 0 0); 2θ = 35.93°, 2.500 Å, rel. 53.7, (2 2 0); 2θ = 42.40°, 2.132 Å, rel. 100.0, (3 1 1); 2θ = 44.39°, 2.041 Å, rel. 20.6, (2 2 2); 2θ = 56.76°, 1.622 Å, rel. 1.4, (3 3 1); 2θ = 64.58°, 1.443 Å, rel. 18.7, (4 2 2); 2θ = 69.03°, 1.361 Å, rel. 29.5, (5 1 1)

Entry 3:
Diffraction record for Ce2CdSe2O2. The powder XRD pattern is theoretical, not measured: it uses a crystal structure in the Materials Project, relaxed with GGA-PBE and Cu Kα.

Atomic structure:
a = 3.993 Å, b = 3.993 Å, c = 18.860 Å
α = 90.00°, β = 90.00°, γ = 90.00°
Space group P4_2/nmc (No. 137, origin choice 2)
Unique sites:
Ce: 0.250 0.250 0.066
Cd: 0.250 0.750 0.250
Se: 0.250 0.250 0.347
O: 0.250 0.750 0.001

Principal peaks in the range 5° ≤ 2θ ≤ 70°, in order of rising 2θ:
2θ = 22.76°, 3.906 Å, rel. 17.3, (1 0 1); 2θ = 26.44°, 3.371 Å, rel. 11.8, (1 0 3); 2θ = 29.31°, 3.047 Å, rel. 100.0, (1 0 4); 2θ = 31.69°, 2.823 Å, rel. 23.4, (1 1 0); 2θ = 33.12°, 2.705 Å, rel. 23.2, (1 1 2); 2θ = 36.38°, 2.470 Å, rel. 24.7, (1 0 6); 2θ = 37.12°, 2.422 Å, rel. 30.9, (1 1 4); 2θ = 45.43°, 1.996 Å, rel. 34.9, (2 0 0); 2θ = 50.43°, 1.810 Å, rel. 23.2, (1 1 8); 2θ = 54.99°, 1.670 Å, rel. 33.8, (2 1 4)

Entry 4:
Diffraction record for Ce2CdPb. The powder XRD pattern is theoretical, not measured: it uses a crystal structure in the Materials Project, relaxed with GGA-PBE and Cu Kα.

Atomic structure:
a = 7.797 Å, b = 7.797 Å, c = 7.797 Å
α = 90.00°, β = 90.00°, γ = 90.00°
Space group Fm-3m (No. 225)
Unique sites:
Ce: 0.250 0.250 0.250
Cd: 0.000 0.000 0.000
Pb: 0.000 0.000 0.500

Principal peaks in the range 5° ≤ 2θ ≤ 70°, in order of rising 2θ:
2θ = 19.72°, 4.502 Å, rel. 4.7, (1 1 1); 2θ = 32.48°, 2.757 Å, rel. 100.0, (2 2 0); 2θ = 38.29°, 2.351 Å, rel. 3.0, (3 1 1); 2θ = 46.59°, 1.949 Å, rel. 18.3, (4 0 0); 2θ = 51.06°, 1.789 Å, rel. 1.4, (3 3 1); 2θ = 57.94°, 1.592 Å, rel. 38.2, (4 2 2); 2θ = 61.83°, 1.501 Å, rel. 1.1, (5 1 1); 2θ = 68.02°, 1.378 Å, rel. 11.8, (4 4 0)

Entry 5:
Diffraction record for CeCdPt. The powder XRD pattern is theoretical, not measured: it uses a crystal structure in the Materials Project, relaxed with GGA-PBE and Cu Kα.

Atomic structure:
a = 7.6566 Å, b = 7.6566 Å, c = 4.0815 Å
α = 90.00°, β = 90.00°, γ = 120.00°
Space group P-62m (No. 189)
Unique sites:
Ce: 0.0000 0.5913 0.0000
Cd: 0.0000 0.2493 0.5000
Pt: 0.0000 0.0000 0.0000
Pt: 0.3333 0.6667 0.5000

Principal peaks in the range 5° ≤ 2θ ≤ 70°, in order of rising 2θ:
2θ = 23.23°, 3.828 Å, rel. 20.0, (1 1 0); 2θ = 32.05°, 2.792 Å, rel. 71.4, (1 1 1); 2θ = 34.86°, 2.573 Å, rel. 100.0, (2 0 1); 2θ = 35.83°, 2.506 Å, rel. 33.0, (2 1 0); 2θ = 40.83°, 2.210 Å, rel. 43.2, (3 0 0); 2θ = 42.32°, 2.136 Å, rel. 44.3, (2 1 1); 2θ = 44.39°, 2.041 Å, rel. 26.9, (0 0 2); 2θ = 58.31°, 1.582 Å, rel. 15.6, (2 1 2); 2θ = 61.88°, 1.499 Å, rel. 25.4, (3 0 2); 2θ = 65.48°, 1.425 Å, rel. 32.0, (3 2 1)

Entry 6:
Diffraction record for Ce2CdPt2. The powder XRD pattern is theoretical, not measured: it uses a crystal structure in the Materials Project, relaxed with GGA-PBE and Cu Kα.

Atomic structure:
a = 7.870 Å, b = 7.870 Å, c = 3.758 Å
α = 90.00°, β = 90.00°, γ = 90.00°
Space group P4/mbm (No. 127)
Unique sites:
Ce: 0.170 0.330 0.000
Cd: 0.000 0.000 0.500
Pt: 0.132 0.632 0.500

Principal peaks in the range 5° ≤ 2θ ≤ 70°, in order of rising 2θ:
2θ = 15.93°, 5.565 Å, rel. 10.7, (1 1 0); 2θ = 32.96°, 2.718 Å, rel. 12.8, (2 0 1); 2θ = 34.93°, 2.569 Å, rel. 100.0, (2 1 1); 2θ = 36.09°, 2.489 Å, rel. 39.8, (3 1 0); 2θ = 43.62°, 2.075 Å, rel. 7.9, (3 1 1); 2θ = 48.22°, 1.887 Å, rel. 8.1, (3 2 1); 2θ = 48.45°, 1.879 Å, rel. 12.6, (0 0 2); 2θ = 53.87°, 1.702 Å, rel. 9.0, (4 1 1); 2θ = 61.87°, 1.500 Å, rel. 16.5, (3 1 2); 2θ = 68.95°, 1.362 Å, rel. 15.7, (5 2 1)

Entry 7:
Diffraction record for Ce2CdSe4. The powder XRD pattern is theoretical, not measured: it uses a crystal structure in the Materials Project, relaxed with GGA-PBE and Cu Kα.

Atomic structure:
a = 8.831 Å, b = 8.831 Å, c = 9.302 Å
α = 90.00°, β = 90.00°, γ = 90.00°
Space group I-42d (No. 122)
Unique sites:
Ce: 0.137 0.250 0.125
Cd: 0.000 0.000 0.500
Se: 0.070 0.192 0.812

Principal peaks in the range 5° ≤ 2θ ≤ 70°, in order of rising 2θ:
2θ = 23.86°, 3.730 Å, rel. 27.6, (1 1 2); 2θ = 24.49°, 3.635 Å, rel. 37.7, (2 1 1); 2θ = 30.56°, 2.925 Å, rel. 96.2, (1 0 3); 2θ = 31.89°, 2.806 Å, rel. 95.5, (3 0 1); 2θ = 32.05°, 2.793 Å, rel. 100.0, (3 1 0); 2θ = 36.86°, 2.439 Å, rel. 66.0, (2 1 3); 2θ = 37.57°, 2.394 Å, rel. 52.0, (3 1 2); 2θ = 37.99°, 2.369 Å, rel. 45.2, (3 2 1); 2θ = 47.30°, 1.922 Å, rel. 37.9, (3 2 3); 2θ = 52.76°, 1.735 Å, rel. 29.0, (4 3 1)

Entry 8:
Diffraction record for CeTlCd. The powder XRD pattern is theoretical, not measured: it uses a crystal structure in the Materials Project, relaxed with GGA-PBE and Cu Kα.

Atomic structure:
a = 5.0894 Å, b = 5.0894 Å, c = 7.0258 Å
α = 90.00°, β = 90.00°, γ = 120.00°
Space group P6_3/mmc (No. 194)
Unique sites:
Ce: 0.0000 0.0000 0.0000
Tl: 0.3333 0.6667 0.2500
Cd: 0.3333 0.6667 0.7500

Principal peaks in the range 5° ≤ 2θ ≤ 70°, in order of rising 2θ:
2θ = 23.83°, 3.734 Å, rel. 12.8, (1 0 1); 2θ = 25.35°, 3.513 Å, rel. 10.9, (0 0 2); 2θ = 32.60°, 2.747 Å, rel. 100.0, (1 0 2); 2θ = 35.27°, 2.545 Å, rel. 94.8, (1 1 0); 2θ = 43.94°, 2.061 Å, rel. 15.3, (1 1 2); 2θ = 48.78°, 1.867 Å, rel. 32.3, (2 0 2); 2θ = 52.07°, 1.756 Å, rel. 10.4, (0 0 4); 2θ = 61.62°, 1.505 Å, rel. 31.9, (2 1 2); 2θ = 63.30°, 1.469 Å, rel. 17.2, (3 0 0); 2θ = 64.46°, 1.446 Å, rel. 32.6, (1 1 4)

Entry 9:
Diffraction record for CdCl2. The powder XRD pattern is theoretical, not measured: it uses a crystal structure in the Materials Project, relaxed with GGA-PBE and Cu Kα.

Atomic structure:
a = 3.9259 Å, b = 3.9259 Å, c = 18.9468 Å
α = 90.00°, β = 90.00°, γ = 120.00°
Space group R-3m (No. 166, hexagonal axes)
Unique sites:
Cd: 0.0000 0.0000 0.0000
Cl: 0.0000 0.0000 0.2577

Principal peaks in the range 5° ≤ 2θ ≤ 70°, in order of rising 2θ:
2θ = 14.02°, 6.316 Å, rel. 100.0, (0 0 3); 2θ = 26.64°, 3.346 Å, rel. 51.7, (1 0 1); 2θ = 32.41°, 2.762 Å, rel. 86.2, (1 0 4); 2θ = 35.47°, 2.531 Å, rel. 18.7, (0 1 5); 2θ = 42.70°, 2.118 Å, rel. 21.8, (1 0 7); 2θ = 46.25°, 1.963 Å, rel. 30.1, (1 1 0); 2θ = 46.74°, 1.943 Å, rel. 27.6, (0 1 8); 2θ = 48.57°, 1.874 Å, rel. 24.2, (1 1 3); 2θ = 57.61°, 1.600 Å, rel. 14.7, (0 2 4); 2θ = 60.23°, 1.537 Å, rel. 8.7, (0 1 11)

Entry 10:
Diffraction record for CdCl2. The powder XRD pattern is theoretical, not measured: it uses a crystal structure in the Materials Project, relaxed with GGA-PBE and Cu Kα.

Atomic structure:
a = 5.952 Å, b = 5.932 Å, c = 4.995 Å
α = 90.00°, β = 91.52°, γ = 90.00°
Space group C2 (No. 5)
Unique sites:
Cd: 0.000 0.000 0.000
Cl: 0.249 0.262 0.271

Principal peaks in the range 5° ≤ 2θ ≤ 70°, in order of rising 2θ:
2θ = 17.76°, 4.994 Å, rel. 62.1, (0 0 1); 2θ = 21.15°, 4.201 Å, rel. 100.0, (1 1 0); 2θ = 27.49°, 3.245 Å, rel. 69.0, (1 1 -1); 2θ = 28.01°, 3.185 Å, rel. 75.0, (1 1 1); 2θ = 34.69°, 2.586 Å, rel. 16.9, (2 0 -1); 2θ = 35.19°, 2.550 Å, rel. 31.9, (0 2 1); 2θ = 41.74°, 2.164 Å, rel. 17.6, (1 1 -2); 2θ = 42.46°, 2.129 Å, rel. 15.9, (1 1 2); 2θ = 43.07°, 2.100 Å, rel. 38.7, (2 2 0); 2θ = 47.61°, 1.910 Å, rel. 27.5, (0 2 2)

Entry 11:
Diffraction record for CdCl2. The powder XRD pattern is theoretical, not measured: it uses a crystal structure in the Materials Project, relaxed with GGA-PBE and Cu Kα.

Atomic structure:
a = 6.800 Å, b = 3.914 Å, c = 6.325 Å
α = 90.00°, β = 96.61°, γ = 90.00°
Space group C2/m (No. 12)
Unique sites:
Cd: 0.000 0.000 0.000
Cl: 0.194 0.500 0.229

Principal peaks in the range 5° ≤ 2θ ≤ 70°, in order of rising 2θ:
2θ = 14.10°, 6.283 Å, rel. 100.0, (0 0 1); 2θ = 26.33°, 3.385 Å, rel. 28.3, (1 1 0); 2θ = 28.53°, 3.129 Å, rel. 28.8, (2 0 -1); 2θ = 30.71°, 2.912 Å, rel. 63.7, (1 1 1); 2θ = 36.76°, 2.445 Å, rel. 19.4, (2 0 -2); 2θ = 37.93°, 2.372 Å, rel. 16.3, (1 1 -2); 2θ = 40.27°, 2.240 Å, rel. 22.5, (1 1 2); 2θ = 46.53°, 1.952 Å, rel. 18.4, (3 1 0); 2θ = 47.38°, 1.919 Å, rel. 13.9, (3 1 -1); 2θ = 49.86°, 1.829 Å, rel. 16.3, (1 1 -3)